1.
# MgTi3
Theoretical PXRD pattern, Cu Kα (λ = 1.5418 Å). Input: a PBE-relaxed structure.
Lines closer than 0.1° are merged.

Most intense lines, 15° ≤ 2θ ≤ 90°, low angle first:
two_theta, I/Imax
21.36, 5.9
30.39, 4.6
37.45, 100.0
43.52, 47.4
48.97, 2.0
63.24, 28.0
75.87, 31.3
79.90, 9.0

Structural model:
Unit cell a=4.159 b=4.159 c=4.159 alpha=90.00 beta=90.00 gamma=90.00
Fractional positions:
Mg: 0.000 0.000 0.000
Ti: 0.000 0.500 0.500
Ti: 0.500 0.000 0.500
Ti: 0.500 0.500 0.000

2.
# La6Mg23P
Theoretical PXRD pattern, Cu Kα (λ = 1.5418 Å). Input: a PBE-relaxed structure.
Lines closer than 0.1° are merged.

Most intense lines, 15° ≤ 2θ ≤ 90°, low angle first:
two_theta, I/Imax
21.06, 46.0
24.37, 32.8
26.59, 29.5
29.96, 31.5
31.82, 100.0
34.73, 65.6
44.27, 27.4
53.19, 30.0

Structural model:
Unit cell a=10.332 b=10.332 c=10.332 alpha=60.00 beta=60.00 gamma=60.00
Fractional positions:
La: 0.203 0.203 0.797
La: 0.203 0.797 0.203
La: 0.203 0.797 0.797
La: 0.797 0.203 0.203
La: 0.797 0.203 0.797
La: 0.797 0.797 0.203
Mg: 0.000 0.000 0.500
Mg: 0.000 0.500 0.000
Mg: 0.000 0.500 0.500
Mg: 0.138 0.621 0.621
Mg: 0.173 0.173 0.173
Mg: 0.173 0.173 0.481
Mg: 0.173 0.481 0.173
Mg: 0.379 0.379 0.379
Mg: 0.379 0.379 0.862
Mg: 0.379 0.862 0.379
Mg: 0.481 0.173 0.173
Mg: 0.500 0.000 0.000
Mg: 0.500 0.000 0.500
Mg: 0.500 0.500 0.000
Mg: 0.500 0.500 0.500
Mg: 0.519 0.827 0.827
Mg: 0.621 0.138 0.621
Mg: 0.621 0.621 0.138
Mg: 0.621 0.621 0.621
Mg: 0.827 0.519 0.827
Mg: 0.827 0.827 0.519
Mg: 0.827 0.827 0.827
Mg: 0.862 0.379 0.379
P: 0.000 0.000 0.000